[1]
The following is a computed powder diffraction line list of TbInO3. It was derived from a structure optimized by DFT (PBE), using a wavelength of 1.5418 Å.

Atomic structure:
Cell lengths 5.898, 8.205, 5.567 Å; angles 90.00, 90.00, 90.00 degrees
Atoms (fractional coordinates):
Tb  0.065  0.250  0.021
Tb  0.435  0.750  0.521
Tb  0.565  0.250  0.479
Tb  0.935  0.750  0.979
In  0.000  0.000  0.500
In  0.000  0.500  0.500
In  0.500  0.000  0.000
In  0.500  0.500  0.000
O  0.070  0.750  0.356
O  0.188  0.574  0.815
O  0.188  0.926  0.815
O  0.312  0.074  0.315
O  0.312  0.426  0.315
O  0.430  0.250  0.856
O  0.570  0.750  0.144
O  0.688  0.574  0.685
O  0.688  0.926  0.685
O  0.812  0.074  0.185
O  0.812  0.426  0.185
O  0.930  0.250  0.644

Principal peaks in the range 10 to 90 degrees two-theta, in order of rising 2θ:
2theta, d (Å), I_rel
24.5, 3.631, 11
30.3, 2.949, 19
31.0, 2.882, 100
32.2, 2.782, 28
44.2, 2.051, 12
44.8, 2.024, 16
50.5, 1.808, 11
54.3, 1.689, 10
54.5, 1.684, 9
55.7, 1.651, 11
56.6, 1.626, 24
64.7, 1.441, 9



[2]
The following is a computed powder diffraction line list of GdBi. It was derived from a structure optimized by DFT (PBE), using a wavelength of 1.5418 Å.

Atomic structure:
Cell lengths 4.523, 4.523, 4.523 Å; angles 60.00, 60.00, 60.00 degrees
Atoms (fractional coordinates):
Gd  0.000  0.000  0.000
Bi  0.500  0.500  0.500

Principal peaks in the range 10 to 90 degrees two-theta, in order of rising 2θ:
2theta, d (Å), I_rel
24.1, 3.693, 4
27.9, 3.198, 100
39.9, 2.262, 78
47.1, 1.929, 2
49.4, 1.847, 29
57.6, 1.599, 14
63.4, 1.468, 1
65.2, 1.430, 38
72.4, 1.306, 28
77.5, 1.231, 1
86.0, 1.131, 9



[3]
The following is a computed powder diffraction line list of K3NaS2. It was derived from a structure optimized by DFT (PBE), using a wavelength of 1.5418 Å.

Atomic structure:
Cell lengths 5.095, 5.095, 7.373 Å; angles 90.00, 90.00, 120.00 degrees
Atoms (fractional coordinates):
K  0.000  0.000  0.000
K  0.333  0.667  0.252
K  0.333  0.667  0.748
Na  0.667  0.333  0.500
S  0.000  0.000  0.500
S  0.667  0.333  0.000

Principal peaks in the range 10 to 90 degrees two-theta, in order of rising 2θ:
2theta, d (Å), I_rel
31.6, 2.829, 100
35.2, 2.547, 75
43.2, 2.096, 4
48.1, 1.893, 27
49.4, 1.843, 8
61.0, 1.519, 24
62.2, 1.493, 24
63.2, 1.471, 11
74.5, 1.274, 7
81.3, 1.184, 5
83.2, 1.161, 9
84.2, 1.150, 10



[4]
The following is a computed powder diffraction line list of BaO10. It was derived from a structure optimized by DFT (PBE), using a wavelength of 1.5418 Å.

Atomic structure:
Cell lengths 5.711, 5.711, 10.254 Å; angles 90.00, 90.00, 90.00 degrees
Atoms (fractional coordinates):
Ba  0.000  0.000  0.250
Ba  0.000  0.000  0.750
O  0.068  0.411  0.101
O  0.068  0.411  0.899
O  0.068  0.589  0.399
O  0.068  0.589  0.601
O  0.411  0.068  0.399
O  0.411  0.068  0.601
O  0.411  0.932  0.101
O  0.411  0.932  0.899
O  0.500  0.500  0.059
O  0.500  0.500  0.441
O  0.500  0.500  0.559
O  0.500  0.500  0.941
O  0.589  0.068  0.101
O  0.589  0.068  0.899
O  0.589  0.932  0.399
O  0.589  0.932  0.601
O  0.932  0.411  0.399
O  0.932  0.411  0.601
O  0.932  0.589  0.101
O  0.932  0.589  0.899

Principal peaks in the range 10 to 90 degrees two-theta, in order of rising 2θ:
2theta, d (Å), I_rel
15.5, 5.711, 51
23.3, 3.815, 100
28.1, 3.172, 48
31.3, 2.855, 56
35.1, 2.554, 11
38.5, 2.339, 17
39.4, 2.286, 51
41.7, 2.164, 40
44.9, 2.019, 14
50.4, 1.809, 19
50.5, 1.806, 12
61.3, 1.513, 12



[5]
The following is a computed powder diffraction line list of Mg6TiSnO8. It was derived from a structure optimized by DFT (PBE), using a wavelength of 1.5418 Å.

Atomic structure:
Cell lengths 4.442, 4.442, 8.876 Å; angles 90.00, 90.00, 90.00 degrees
Atoms (fractional coordinates):
Mg  0.000  0.000  0.000
Mg  0.000  0.500  0.237
Mg  0.000  0.500  0.763
Mg  0.500  0.000  0.237
Mg  0.500  0.000  0.763
Mg  0.500  0.500  0.000
Ti  0.000  0.000  0.500
Sn  0.500  0.500  0.500
O  0.000  0.000  0.241
O  0.000  0.000  0.759
O  0.000  0.500  0.000
O  0.000  0.500  0.500
O  0.500  0.000  0.000
O  0.500  0.000  0.500
O  0.500  0.500  0.226
O  0.500  0.500  0.774

Principal peaks in the range 10 to 90 degrees two-theta, in order of rising 2θ:
2theta, d (Å), I_rel
20.0, 4.440, 25
22.4, 3.972, 15
28.4, 3.140, 22
30.2, 2.960, 31
35.0, 2.564, 37
40.6, 2.220, 100
41.9, 2.154, 14
45.7, 1.986, 12
50.3, 1.813, 10
58.8, 1.570, 59
70.3, 1.339, 19
73.9, 1.282, 18



[6]
The following is a computed powder diffraction line list of PrN2. It was derived from a structure optimized by DFT (PBE), using a wavelength of 1.5418 Å.

Atomic structure:
Cell lengths 6.682, 6.682, 6.257 Å; angles 114.38, 114.38, 43.86 degrees
Atoms (fractional coordinates):
Pr  0.000  0.000  0.000
Pr  0.593  0.593  0.646
Pr  0.816  0.816  0.402
N  0.023  0.023  0.658
N  0.249  0.249  0.280
N  0.356  0.356  0.357
N  0.559  0.559  0.211
N  0.572  0.572  0.024
N  0.797  0.797  0.745

Principal peaks in the range 10 to 90 degrees two-theta, in order of rising 2θ:
2theta, d (Å), I_rel
16.7, 5.293, 17
19.5, 4.552, 57
22.8, 3.898, 25
27.2, 3.281, 36
27.4, 3.254, 36
28.6, 3.126, 100
28.9, 3.094, 23
34.4, 2.608, 18
36.0, 2.495, 34
44.7, 2.029, 28
45.7, 1.986, 18
46.6, 1.949, 23



[7]
The following is a computed powder diffraction line list of Cr5Bi6Se16. It was derived from a structure optimized by DFT (PBE), using a wavelength of 1.5418 Å.

Atomic structure:
Cell lengths 9.622, 9.622, 11.569 Å; angles 91.61, 91.61, 142.21 degrees
Atoms (fractional coordinates):
Cr  0.000  0.000  0.000
Cr  0.210  0.813  0.992
Cr  0.403  0.603  0.995
Cr  0.603  0.403  0.995
Cr  0.813  0.210  0.992
Bi  0.024  0.024  0.650
Bi  0.107  0.773  0.346
Bi  0.400  0.731  0.644
Bi  0.417  0.417  0.342
Bi  0.731  0.400  0.644
Bi  0.773  0.107  0.346
Se  0.091  0.287  0.121
Se  0.128  0.531  0.872
Se  0.179  0.846  0.598
Se  0.287  0.091  0.121
Se  0.311  0.311  0.877
Se  0.321  0.656  0.392
Se  0.498  0.897  0.113
Se  0.513  0.513  0.596
Se  0.531  0.128  0.872
Se  0.656  0.321  0.392
Se  0.680  0.680  0.118
Se  0.717  0.918  0.872
Se  0.846  0.179  0.598
Se  0.897  0.498  0.113
Se  0.918  0.717  0.872
Se  0.982  0.982  0.398

Principal peaks in the range 10 to 90 degrees two-theta, in order of rising 2θ:
2theta, d (Å), I_rel
22.3, 3.982, 93
23.2, 3.842, 66
29.1, 3.064, 69
29.4, 3.034, 92
30.5, 2.934, 86
31.0, 2.881, 100
31.5, 2.837, 63
35.6, 2.524, 58
37.8, 2.381, 97
41.6, 2.170, 55
41.9, 2.156, 64
43.3, 2.089, 77